Zr2PdPt3: theoretical powder X-ray diffraction pattern (CuKα), based on the PBE geometry in Alexandria.
Lines closer than 0.1° are merged.

Atomic structure:
abc: 5.5045 4.4245 8.7838
angles: 90.00 90.00 90.00
Space group Pmma (No. 51)
Unique sites:
Zr  0.2500  0.0000  0.1933
Zr  0.2500  0.5000  0.6957
Pd  0.0000  0.0000  0.5000
Pt  0.0000  0.5000  0.0000
Pt  0.2500  0.0000  0.8771
Pt  0.2500  0.5000  0.3797

Principal peaks in the range 10 to 90 degrees two-theta, in order of falling intensity:
2θ (°)	I/Imax	(hkl)
39.9	100	2 1 1
36.8	78	0 1 3
40.8	43	0 2 0
40.4	34	1 1 3
26.0	26	1 0 2
38.6	25	2 0 2
53.4	22	2 0 4
69.3	21	2 2 4
73.7	17	2 3 1
80.0	16	4 1 3